(1)
The following is a computed powder diffractogram of VAsO5. It was derived from the PBE+U geometry in the Materials Project, using Cu Kα (weighted mean of Kα1 and Kα2).

Top 10 peaks for 2θ from 10° to 80°, in order of rising 2θ:
| index | 2θ (°) | I (rel.) |
| --- | --- | --- |
| 1 0 1 | 16.2 | 16 |
| 1 1 0 | 17.2 | 100 |
| 0 0 2 | 21.2 | 24 |
| 0 1 2 | 24.4 | 28 |
| 1 0 2 | 24.5 | 50 |
| 0 2 1 | 26.3 | 21 |
| 1 2 1 | 29.1 | 21 |
| 2 1 1 | 29.5 | 62 |
| 1 2 2 | 34.6 | 21 |
| 2 2 1 | 36.4 | 17 |

Structural model:
Unit cell a=7.2045 b=7.4207 c=8.4005 alpha=90.00 beta=90.00 gamma=90.00
Space group P2_12_12_1 (No. 19)
Symmetry-distinct sites (fractional):
V 0.0090 0.2044 0.0616 x4
As 0.2401 0.0744 0.3925 x4
O 0.0385 0.9439 0.4328 x4
O 0.0807 0.0875 0.8763 x4
O 0.1793 0.6102 0.3791 x4
O 0.1981 0.1492 0.1949 x4
O 0.2158 0.7602 0.0154 x4

(2)
The following is a computed powder diffractogram of LiCo3Si2O8. It was derived from the PBE+U geometry in the Materials Project, using Cu Kα (weighted mean of Kα1 and Kα2).

Top 10 peaks for 2θ from 10° to 80°, in order of rising 2θ:
| index | 2θ (°) | I (rel.) |
| --- | --- | --- |
| 0 1 -1 | 10.7 | 35 |
| 0 1 -3 | 20.4 | 57 |
| 0 0 3 | 21.4 | 71 |
| 1 1 0 | 21.6 | 77 |
| 0 2 1 | 24.7 | 64 |
| 1 1 -3 | 25.3 | 36 |
| 1 -2 0 | 27.0 | 36 |
| 1 1 3 | 35.1 | 100 |
| 0 2 -5 | 35.3 | 33 |
| -1 1 4 | 35.7 | 90 |

Structural model:
Unit cell a=5.0288 b=8.8107 c=13.3834 alpha=109.00 beta=98.93 gamma=91.02
Space group P1 (No. 1)
Symmetry-distinct sites (fractional):
Li 0.0000 0.0000 0.0000 x1
Li 0.1002 0.4997 0.1702 x1
Li 0.3248 0.7334 0.6781 x1
Co 0.2224 0.9086 0.3559 x1
Co 0.2976 0.3101 0.5044 x1
Co 0.4873 0.0929 0.8525 x1
Co 0.5284 0.9846 0.1590 x1
Co 0.5631 0.5122 0.0054 x1
Co 0.6025 0.4009 0.3140 x1
Co 0.8240 0.8374 0.4995 x1
Co 0.8799 0.6013 0.8089 x1
Co 0.8917 0.2527 0.6548 x1
Si 0.0187 0.3196 0.9119 x1
Si 0.0827 0.1828 0.2576 x1
Si 0.3668 0.0351 0.5997 x1
Si 0.4423 0.7968 0.9164 x1
Si 0.6473 0.7019 0.2505 x1
Si 0.7994 0.5341 0.5702 x1
O 0.0144 0.4003 0.5849 x1
O 0.0367 0.0450 0.5817 x1
O 0.1390 0.1339 0.3678 x1
O 0.1484 0.1427 0.8895 x1
O 0.1948 0.7344 0.8149 x1
O 0.1968 0.4521 0.0172 x1
O 0.3141 0.8754 0.0260 x1
O 0.3785 0.1975 0.2192 x1
O 0.4474 0.8991 0.4929 x1
O 0.4486 0.5722 0.2742 x1
O 0.4601 0.8535 0.2438 x1
O 0.4683 0.9845 0.7064 x1
O 0.4991 0.2118 0.6089 x1
O 0.5661 0.4406 0.4629 x1
O 0.6357 0.6473 0.9188 x1
O 0.6470 0.5904 0.6752 x1
O 0.6466 0.9386 0.9056 x1
O 0.7040 0.2935 0.9327 x1
O 0.7757 0.6172 0.1437 x1
O 0.8896 0.0422 0.1589 x1
O 0.8976 0.7793 0.3517 x1
O 0.9488 0.3559 0.2774 x1
O 0.9737 0.6832 0.5587 x1
O 0.9954 0.3826 0.8070 x1